Entry 1:
Starting from a structure optimized by DFT (PBE), the X-ray diffraction stick pattern of TmNb3O6 was calculated for copper Kα.
Lines closer than 0.1° are merged.

Principal peaks in the range 10° ≤ 2θ ≤ 90°, by angle:
| 2θ/deg | d/Å | I (rel.) |
| --- | --- | --- |
| 10.07 | 8.781 | 89 |
| 10.53 | 8.402 | 54 |
| 26.25 | 3.395 | 74 |
| 28.95 | 3.084 | 53 |
| 30.54 | 2.927 | 75 |
| 31.99 | 2.798 | 75 |
| 35.40 | 2.536 | 89 |
| 36.30 | 2.475 | 100 |
| 39.64 | 2.274 | 50 |
| 46.60 | 1.949 | 46 |

Structural model:
Unit cell a=8.857 b=3.062 c=9.257 alpha=90.00 beta=108.44 gamma=90.00
Sites, in units of the cell vectors:
Tm 0.110 0.250 0.366
Tm 0.890 0.750 0.634
Nb 0.138 0.250 0.032
Nb 0.288 0.750 0.728
Nb 0.481 0.750 0.362
Nb 0.519 0.250 0.638
Nb 0.712 0.250 0.272
Nb 0.862 0.750 0.968
O 0.069 0.750 0.179
O 0.099 0.250 0.623
O 0.228 0.750 0.928
O 0.306 0.750 0.496
O 0.318 0.250 0.250
O 0.430 0.250 0.825
O 0.570 0.750 0.175
O 0.682 0.750 0.750
O 0.694 0.250 0.504
O 0.772 0.250 0.072
O 0.901 0.750 0.377
O 0.931 0.250 0.821



Entry 2:
Starting from a structure optimized by DFT (PBE), the X-ray diffraction stick pattern of Tm6NbO12 was calculated for copper Kα.
Lines closer than 0.1° are merged.

Principal peaks in the range 10° ≤ 2θ ≤ 90°, by angle:
| 2θ/deg | d/Å | I (rel.) |
| --- | --- | --- |
| 18.27 | 4.856 | 9 |
| 29.05 | 3.074 | 32 |
| 29.72 | 3.006 | 100 |
| 34.26 | 2.617 | 46 |
| 48.80 | 1.866 | 27 |
| 49.67 | 1.836 | 27 |
| 57.80 | 1.595 | 13 |
| 58.58 | 1.576 | 23 |
| 58.96 | 1.566 | 12 |
| 61.73 | 1.503 | 9 |

Structural model:
Unit cell a=6.395 b=6.395 c=6.395 alpha=98.83 beta=98.83 gamma=98.83
Sites, in units of the cell vectors:
Tm 0.111 0.639 0.805
Tm 0.195 0.889 0.361
Tm 0.361 0.195 0.889
Tm 0.639 0.805 0.111
Tm 0.805 0.111 0.639
Tm 0.889 0.361 0.195
Nb 0.500 0.500 0.500
O 0.065 0.322 0.915
O 0.085 0.935 0.678
O 0.192 0.545 0.425
O 0.322 0.915 0.065
O 0.425 0.192 0.545
O 0.455 0.575 0.808
O 0.545 0.425 0.192
O 0.575 0.808 0.455
O 0.678 0.085 0.935
O 0.808 0.455 0.575
O 0.915 0.065 0.322
O 0.935 0.678 0.085